The following is a theoretical powder diffractogram of Li2AcBeF8. It was derived from a DFT-relaxed cell (PBE, Alexandria), using copper Kα.

Main lines, in order of rising 2θ (15 to 90 degrees two-theta):
d [Å]  intensity
4.181  100
3.514  95
3.245  19
2.563  45
2.414  25
2.262  67
1.990  27
1.937  49
1.921  25
1.535  23

```
data_Li2AcBeF8
_chemical_formula_sum 'Li2 Ac1 Be1 F8'
_cell_length_a 4.8272
_cell_length_b 4.8272
_cell_length_c 6.4894
_cell_angle_alpha 90.00
_cell_angle_beta 90.00
_cell_angle_gamma 120.00
_symmetry_space_group_name_H-M 'P -3 1 m'
_symmetry_Int_Tables_number 162
_symmetry_space_group_name_Hall '-P 3 2'
loop_
_atom_site_label
_atom_site_type_symbol
_atom_site_fract_x
_atom_site_fract_y
_atom_site_fract_z
_atom_site_occupancy
Li1 Li 0.3333 0.6667 0.0000 1
Ac1 Ac 0.0000 0.0000 0.5000 1
Be1 Be 0.0000 0.0000 0.0000 1
F1 F 0.0000 0.2940 0.1574 1
F2 F 0.3333 0.6667 0.5000 1
```

***

The following is a theoretical powder diffractogram of SiTeS. It was derived from a DFT-relaxed cell (PBE, Alexandria), using copper Kα.

Main lines, in order of rising 2θ (15 to 90 degrees two-theta):
d [Å]  intensity
4.403  100
3.171  78
3.059  79
2.913  16
2.573  30
2.202  30
1.998  30
1.941  18
1.809  31
1.746  19

```
data_SiTeS
_chemical_formula_sum 'Si3 Te3 S3'
_cell_length_a 6.3426
_cell_length_b 6.3426
_cell_length_c 7.3662
_cell_angle_alpha 90.00
_cell_angle_beta 90.00
_cell_angle_gamma 120.00
_symmetry_space_group_name_H-M 'P 32'
_symmetry_Int_Tables_number 145
loop_
_symmetry_equiv_pos_as_xyz
'x,y,z'
'-y,x-y,z+2/3'
'-x+y,-x,z+1/3'
loop_
_atom_site_label
_atom_site_type_symbol
_atom_site_fract_x
_atom_site_fract_y
_atom_site_fract_z
_atom_site_occupancy
Si1 Si 0.0357 0.4775 0.0000 1
Te1 Te 0.3073 0.2750 0.3999 1
S1 S 0.0846 0.6610 0.2603 1
```

***

The following is a theoretical powder diffractogram of Nd3Cu3Ag. It was derived from a DFT-relaxed cell (PBE, Alexandria), using copper Kα.

Main lines, in order of rising 2θ (15 to 90 degrees two-theta):
d [Å]  intensity
3.044  46
2.896  40
2.707  89
2.637  100
2.545  18
2.340  66
2.329  20
2.263  19
2.182  47
1.742  18

```
data_Nd3Cu3Ag
_chemical_formula_sum 'Nd12 Cu12 Ag4'
_cell_length_a 4.363
_cell_length_b 10.353
_cell_length_c 13.976
_cell_angle_alpha 90.00
_cell_angle_beta 90.00
_cell_angle_gamma 90.00
_symmetry_space_group_name_H-M 'C m c m'
_symmetry_Int_Tables_number 63
_symmetry_space_group_name_Hall '-C 2c 2'
loop_
_atom_site_label
_atom_site_type_symbol
_atom_site_fract_x
_atom_site_fract_y
_atom_site_fract_z
_atom_site_occupancy
Nd1 Nd 0.000 0.022 0.250 1
Nd2 Nd 0.000 0.303 0.101 1
Cu1 Cu 0.000 0.271 0.750 1
Cu2 Cu 0.000 0.407 0.599 1
Ag1 Ag 0.000 0.000 0.000 1
```

***

Repeat the second record exactly.
The following is a theoretical powder diffractogram of SiTeS. It was derived from a DFT-relaxed cell (PBE, Alexandria), using copper Kα.

Main lines, in order of rising 2θ (15 to 90 degrees two-theta):
d [Å]  intensity
4.403  100
3.171  78
3.059  79
2.913  16
2.573  30
2.202  30
1.998  30
1.941  18
1.809  31
1.746  19

```
data_SiTeS
_chemical_formula_sum 'Si3 Te3 S3'
_cell_length_a 6.3426
_cell_length_b 6.3426
_cell_length_c 7.3662
_cell_angle_alpha 90.00
_cell_angle_beta 90.00
_cell_angle_gamma 120.00
_symmetry_space_group_name_H-M 'P 32'
_symmetry_Int_Tables_number 145
loop_
_symmetry_equiv_pos_as_xyz
'x,y,z'
'-y,x-y,z+2/3'
'-x+y,-x,z+1/3'
loop_
_atom_site_label
_atom_site_type_symbol
_atom_site_fract_x
_atom_site_fract_y
_atom_site_fract_z
_atom_site_occupancy
Si1 Si 0.0357 0.4775 0.0000 1
Te1 Te 0.3073 0.2750 0.3999 1
S1 S 0.0846 0.6610 0.2603 1
```